Entry 1:
This entry pairs a crystal structure of CsRb2TbCl6 with its theoretical X-ray powder pattern. Radiation: Cu Ka. Structure: a PBE-relaxed structure.
Neutral-atom scattering factors, no anomalous dispersion.

Most intense lines, 2θ from 10° to 90°, by angle:
2θ = 14.97°, d = 5.917 Å, I 28, (2 0 0)
2θ = 21.24°, d = 4.184 Å, I 100, (2 2 0)
2θ = 30.21°, d = 2.958 Å, I 60, (4 0 0)
2θ = 37.22°, d = 2.416 Å, I 45, (4 2 2)
2θ = 43.25°, d = 2.092 Å, I 40, (4 4 0)
2θ = 58.35°, d = 1.581 Å, I 28, (6 4 2)

Structure:
a b c (Å): 11.834 11.834 11.834
angles (deg): 90.00 90.00 90.00
Space group Fm-3m (No. 225)
Inequivalent atoms, fractional coordinates:
Cs1 0.000 0.000 0.000 x4
Rb1 0.250 0.250 0.250 x8
Tb1 0.000 0.000 0.500 x4
Cl1 0.000 0.000 0.276 x24

---

Entry 2:
This entry pairs a crystal structure of Li6PS5Br with its theoretical X-ray powder pattern. Radiation: Cu Ka. Structure: a PBE-relaxed structure.
Neutral-atom scattering factors, no anomalous dispersion.

Most intense lines, 2θ from 10° to 90°, by angle:
2θ = 17.21°, d = 5.153 Å, I 42, (2 0 0)
2θ = 24.43°, d = 3.643 Å, I 98, (2 2 0)
2θ = 28.73°, d = 3.107 Å, I 100, (3 1 1)
2θ = 30.04°, d = 2.975 Å, I 56, (2 2 2)
2θ = 45.75°, d = 1.983 Å, I 39, (5 1 1)
2θ = 50.07°, d = 1.822 Å, I 55, (4 4 0)

Structure:
a b c (Å): 10.305 10.305 10.305
angles (deg): 90.00 90.00 90.00
Space group F-43m (No. 216)
Inequivalent atoms, fractional coordinates:
Li1 0.000 0.000 0.227 x24
P1 0.250 0.250 0.250 x4
S1 0.000 0.000 0.000 x4
S2 0.135 0.135 0.365 x16
Br1 0.250 0.250 0.750 x4

---

Entry 3:
This entry pairs a crystal structure of Ba2TbMgSbO6 with its theoretical X-ray powder pattern. Radiation: Cu Ka. Structure: a PBE-relaxed structure.
Neutral-atom scattering factors, no anomalous dispersion.

Most intense lines, 2θ from 10° to 90°, by angle:
2θ = 14.15°, d = 6.259 Å, I 35, (0 0 1)
2θ = 28.09°, d = 3.177 Å, I 100, (0 2 0)
2θ = 28.72°, d = 3.108 Å, I 40, (1 1 -2)
2θ = 28.90°, d = 3.090 Å, I 20, (2 0 1)
2θ = 49.71°, d = 1.834 Å, I 21, (3 3 -1)
2θ = 58.06°, d = 1.589 Å, I 19, (0 4 0)

Structure:
a b c (Å): 11.010 6.352 7.284
angles (deg): 90.00 120.75 90.00
Space group Cm (No. 8)
Inequivalent atoms, fractional coordinates:
Ba1 0.000 0.000 0.000 x2
Ba2 0.099 0.500 0.795 x2
Tb1 0.250 0.000 0.753 x2
Mg1 0.398 0.000 0.185 x2
Sb1 0.307 0.500 0.426 x2
O1 0.018 0.000 0.617 x2
O2 0.271 0.227 0.031 x4
O3 0.289 0.275 0.604 x4
O4 0.494 0.000 0.027 x2

---

Entry 4:
This entry pairs a crystal structure of SnBi with its theoretical X-ray powder pattern. Radiation: Cu Ka. Structure: a PBE-relaxed structure.
Neutral-atom scattering factors, no anomalous dispersion.

Most intense lines, 2θ from 10° to 90°, by angle:
2θ = 28.78°, d = 3.102 Å, I 100, (2 0 0)
2θ = 30.75°, d = 2.908 Å, I 90, (1 0 1)
2θ = 41.15°, d = 2.194 Å, I 39, (2 2 0)
2θ = 42.62°, d = 2.122 Å, I 76, (2 1 1)
2θ = 60.73°, d = 1.525 Å, I 27, (3 2 1)
2θ = 75.38°, d = 1.261 Å, I 28, (3 1 2)

Structure:
a b c (Å): 6.204 6.204 3.292
angles (deg): 90.00 90.00 90.00
Space group I-4m2 (No. 119)
Inequivalent atoms, fractional coordinates:
Sn1 0.000 0.000 0.000 x2
Bi1 0.000 0.500 0.750 x2

---

Entry 5:
This entry pairs a crystal structure of TeMoWSeS2 with its theoretical X-ray powder pattern. Radiation: Cu Ka. Structure: a PBE-relaxed structure.
Neutral-atom scattering factors, no anomalous dispersion.

Most intense lines, 2θ from 10° to 90°, by angle:
2θ = 11.31°, d = 7.823 Å, I 100, (0 0 5)
2θ = 13.58°, d = 6.520 Å, I 16, (0 0 6)
2θ = 31.29°, d = 2.859 Å, I 38, (1 0 0)
2θ = 36.38°, d = 2.470 Å, I 62, (1 0 8)
2θ = 43.65°, d = 2.074 Å, I 41, (0 1 13)
2θ = 55.64°, d = 1.652 Å, I 24, (1 1 0)

Structure:
a b c (Å): 3.3044 3.3044 39.1175
angles (deg): 90.00 90.00 120.00
Space group P3m1 (No. 156)
Inequivalent atoms, fractional coordinates:
Te1 0.0000 0.0000 0.0000 x1
Te2 0.0000 0.0000 0.0984 x1
Mo1 0.0000 0.0000 0.2392 x1
Mo2 0.0000 0.0000 0.8616 x1
W1 0.3333 0.6667 0.0492 x1
W2 0.3333 0.6667 0.4261 x1
Se1 0.3333 0.6667 0.1962 x1
Se2 0.3333 0.6667 0.2821 x1
S1 0.0000 0.0000 0.3868 x1
S2 0.0000 0.0000 0.4653 x1
S3 0.3333 0.6667 0.8226 x1
S4 0.3333 0.6667 0.9007 x1

---

Entry 6:
This entry pairs a crystal structure of PrH3O3 with its theoretical X-ray powder pattern. Radiation: Cu Ka. Structure: a PBE-relaxed structure.
Neutral-atom scattering factors, no anomalous dispersion.

Most intense lines, 2θ from 10° to 90°, by angle:
2θ = 15.75°, d = 5.628 Å, I 94, (1 0 0)
2θ = 27.45°, d = 3.249 Å, I 67, (1 1 0)
2θ = 28.36°, d = 3.147 Å, I 100, (1 0 1)
2θ = 39.88°, d = 2.260 Å, I 72, (2 0 1)
2θ = 48.53°, d = 1.876 Å, I 25, (3 0 0)
2θ = 49.10°, d = 1.856 Å, I 63, (2 1 1)

Structure:
a b c (Å): 6.4983 6.4983 3.7958
angles (deg): 90.00 90.00 120.00
Space group P6_3/m (No. 176)
Inequivalent atoms, fractional coordinates:
Pr1 0.3333 0.6667 0.2500 x2
H1 0.1376 0.2753 0.7500 x6
O1 0.0827 0.3899 0.7500 x6

---

Entry 7:
This entry pairs a crystal structure of TbB2Ir3 with its theoretical X-ray powder pattern. Radiation: Cu Ka. Structure: a PBE-relaxed structure.
Neutral-atom scattering factors, no anomalous dispersion.

Most intense lines, 2θ from 10° to 90°, by angle:
2θ = 34.10°, d = 2.629 Å, I 59, (1 0 1)
2θ = 37.95°, d = 2.371 Å, I 100, (2 0 0)
2θ = 43.75°, d = 2.069 Å, I 34, (1 1 1)
2θ = 47.98°, d = 1.896 Å, I 35, (2 0 1)
2θ = 59.28°, d = 1.559 Å, I 25, (2 1 1)
2θ = 71.81°, d = 1.315 Å, I 32, (2 0 2)

Structure:
a b c (Å): 5.4749 5.4749 3.1595
angles (deg): 90.00 90.00 120.00
Space group P6/mmm (No. 191)
Inequivalent atoms, fractional coordinates:
Tb1 0.0000 0.0000 0.0000 x1
B1 0.3333 0.6667 0.0000 x2
Ir1 0.0000 0.5000 0.5000 x3

---

Entry 8:
This entry pairs a crystal structure of TbCuO3 with its theoretical X-ray powder pattern. Radiation: Cu Ka. Structure: a PBE-relaxed structure.
Neutral-atom scattering factors, no anomalous dispersion.

Most intense lines, 2θ from 10° to 90°, by angle:
2θ = 33.50°, d = 2.675 Å, I 100, (1 1 0)
2θ = 41.34°, d = 2.184 Å, I 16, (1 1 1)
2θ = 48.11°, d = 1.891 Å, I 30, (2 0 0)
2θ = 59.89°, d = 1.544 Å, I 38, (2 1 1)
2θ = 70.40°, d = 1.337 Å, I 18, (2 2 0)
2θ = 80.25°, d = 1.196 Å, I 16, (3 1 0)

Structure:
a b c (Å): 3.783 3.783 3.783
angles (deg): 90.00 90.00 90.00
Space group Pm-3m (No. 221)
Inequivalent atoms, fractional coordinates:
Tb1 0.000 0.000 0.000 x1
Cu1 0.500 0.500 0.500 x1
O1 0.000 0.500 0.500 x3